Record 1
Calculated powder diffractogram of ErMn3I9 for Cu Kα, from a DFT-relaxed cell (GGA-PBE, Alexandria).
Lines closer than 0.1° are merged.

Cell and atoms:
```
data_ErMn3I9
_chemical_formula_sum 'Er4 Mn12 I36'
_space_group_name_H-M_alt 'C 1 c 1'
_space_group_IT_number 9
_cell_length_a 20.275
_cell_length_b 10.397
_cell_length_c 14.614
_cell_angle_alpha 90.00
_cell_angle_beta 128.33
_cell_angle_gamma 90.00
loop_
_space_group_symop_operation_xyz
'x,y,z'
'x,-y,z+1/2'
'x+1/2,y+1/2,z'
'x+1/2,-y+1/2,z+1/2'
loop_
_atom_site_label
_atom_site_type_symbol
_atom_site_fract_x
_atom_site_fract_y
_atom_site_fract_z
Er1 Er 0.000 0.226 0.000
Mn1 Mn 0.136 0.121 0.824
Mn2 Mn 0.231 0.437 0.714
Mn3 Mn 0.362 0.072 0.667
I1 I 0.001 0.085 0.818
I2 I 0.108 0.352 0.721
I3 I 0.137 0.051 0.187
I4 I 0.151 0.372 0.054
I5 I 0.246 0.261 0.589
I6 I 0.300 0.130 0.017
I7 I 0.359 0.464 0.425
I8 I 0.399 0.039 0.363
I9 I 0.493 0.187 0.694
```

Most intense lines, 2θ = 10–90°, in order of rising 2θ:
2θ 14.7, I 100, hkl 1 1 1; 2θ 23.6, I 63, hkl 5 1 -2; 2θ 24.2, I 62, hkl 2 0 2; 2θ 25.3, I 90, hkl 2 2 -3; 2θ 26.0, I 51, hkl 3 1 -4; 2θ 28.3, I 47, hkl 4 2 0


Record 2
Calculated powder diffractogram of NaErMnI6 for Cu Kα, from a DFT-relaxed cell (GGA-PBE, Alexandria).
Lines closer than 0.1° are merged.

Cell and atoms:
```
data_NaErMnI6
_chemical_formula_sum 'Na2 Er2 Mn2 I12'
_space_group_name_H-M_alt 'P -3 1 c'
_space_group_IT_number 163
_space_group_name_Hall '-P 3 2c'
_cell_length_a 7.5530
_cell_length_b 7.5530
_cell_length_c 14.5372
_cell_angle_alpha 90.00
_cell_angle_beta 90.00
_cell_angle_gamma 120.00
loop_
_atom_site_label
_atom_site_type_symbol
_atom_site_fract_x
_atom_site_fract_y
_atom_site_fract_z
Na1 Na 0.0000 0.0000 0.0000
Er1 Er 0.3333 0.6667 0.2500
Mn1 Mn 0.3333 0.6667 0.7500
I1 I 0.0099 0.3615 0.6332
```

Most intense lines, 2θ = 10–90°, in order of rising 2θ:
2θ 12.2, I 18, hkl 0 0 2; 2θ 26.6, I 100, hkl 1 1 2; 2θ 34.2, I 46, hkl 1 1 4; 2θ 41.4, I 32, hkl 3 0 0; 2θ 44.4, I 27, hkl 2 -1 6; 2θ 49.9, I 15, hkl 4 -2 2


Record 3
Calculated powder diffractogram of ErI4N2 for Cu Kα, from a DFT-relaxed cell (GGA-PBE, Alexandria).
Lines closer than 0.1° are merged.

Cell and atoms:
```
data_ErI4N2
_chemical_formula_sum 'Er1 I4 N2'
_space_group_name_H-M_alt 'P -1'
_space_group_IT_number 2
_cell_length_a 3.910
_cell_length_b 8.299
_cell_length_c 8.334
_cell_angle_alpha 106.38
_cell_angle_beta 103.50
_cell_angle_gamma 103.61
loop_
_space_group_symop_operation_xyz
'x,y,z'
'-x,-y,-z'
loop_
_atom_site_label
_atom_site_type_symbol
_atom_site_fract_x
_atom_site_fract_y
_atom_site_fract_z
Er1 Er 0.000 0.000 0.000
I1 I 0.249 0.742 0.755
I2 I 0.491 0.231 0.748
N1 N 0.007 0.832 0.184
```

Most intense lines, 2θ = 10–90°, in order of rising 2θ:
2θ 11.7, I 87, hkl 0 1 0; 2θ 23.5, I 32, hkl 0 0 2; 2θ 26.8, I 76, hkl 0 2 -2; 2θ 28.2, I 100, hkl 1 -2 0; 2θ 30.8, I 86, hkl -1 1 2; 2θ 36.4, I 34, hkl 1 -3 0


Record 4
Calculated powder diffractogram of Er3IO7 for Cu Kα, from a DFT-relaxed cell (GGA-PBE, Alexandria).
Lines closer than 0.1° are merged.

Cell and atoms:
```
data_Er3IO7
_chemical_formula_sum 'Er12 I4 O28'
_space_group_name_H-M_alt 'C 2 2 21'
_space_group_IT_number 20
_cell_length_a 7.666
_cell_length_b 10.615
_cell_length_c 7.513
_cell_angle_alpha 90.00
_cell_angle_beta 90.00
_cell_angle_gamma 90.00
loop_
_space_group_symop_operation_xyz
'x,y,z'
'-x,-y,z+1/2'
'x,-y,-z'
'-x,y,-z+1/2'
'x+1/2,y+1/2,z'
'-x+1/2,-y+1/2,z+1/2'
'x+1/2,-y+1/2,-z'
'-x+1/2,y+1/2,-z+1/2'
loop_
_atom_site_label
_atom_site_type_symbol
_atom_site_fract_x
_atom_site_fract_y
_atom_site_fract_z
Er1 Er 0.036 0.000 0.000
Er2 Er 0.234 0.263 0.756
I1 I 0.004 0.500 0.000
O1 O 0.000 0.133 0.250
O2 O 0.000 0.138 0.750
O3 O 0.000 0.412 0.750
O4 O 0.192 0.376 0.041
O5 O 0.221 0.371 0.480
```

Most intense lines, 2θ = 10–90°, in order of rising 2θ:
2θ 28.7, I 99, hkl 2 2 0; 2θ 29.1, I 100, hkl 0 2 2; 2θ 33.4, I 46, hkl 2 0 2; 2θ 48.2, I 59, hkl 2 4 2; 2θ 56.6, I 23, hkl 4 2 2; 2θ 57.3, I 40, hkl 2 2 4


Record 5
Calculated powder diffractogram of Rb2ErIO6 for Cu Kα, from a DFT-relaxed cell (GGA-PBE, Alexandria).
Lines closer than 0.1° are merged.

Cell and atoms:
```
data_Rb2ErIO6
_chemical_formula_sum 'Rb2 Er1 I1 O6'
_space_group_name_H-M_alt 'P -3 m 1'
_space_group_IT_number 164
_space_group_name_Hall '-P 3 2"'
_cell_length_a 6.5446
_cell_length_b 6.5446
_cell_length_c 5.8030
_cell_angle_alpha 90.00
_cell_angle_beta 90.00
_cell_angle_gamma 120.00
loop_
_atom_site_label
_atom_site_type_symbol
_atom_site_fract_x
_atom_site_fract_y
_atom_site_fract_z
Rb1 Rb 0.3333 0.6667 0.1167
Er1 Er 0.0000 0.0000 0.5000
I1 I 0.0000 0.0000 0.0000
O1 O 0.1341 0.2682 0.7967
```

Most intense lines, 2θ = 10–90°, in order of rising 2θ:
2θ 15.6, I 100, hkl 1 0 0; 2θ 27.3, I 84, hkl 1 1 0; 2θ 34.7, I 37, hkl 0 1 2; 2θ 41.6, I 29, hkl 1 1 2; 2θ 44.7, I 30, hkl 2 0 2; 2θ 53.1, I 28, hkl 1 2 2